1.
The following is a calculated powder diffraction line list of TlCdH2. It was derived from DFT lattice parameters and positions (PBE), using copper Kα.

Top 6 peaks for 10 to 90 degrees two-theta, by intensity:
index  2θ (°)  intensity
0 0 4  31.0  100
0 1 -1  18.8  80
0 1 1  20.3  63
1 1 1  36.2  59
0 2 -1  36.5  42
1 1 -3  39.5  40

Structure:
Cell: 3.0903 4.9497 11.6445 Å, 95.98 94.11 90.02°
Space group P-1 (No. 2)
Asymmetric unit:
Tl 0.0690 0.1669 0.2460 (multiplicity 2)
Cd 0.0000 0.5000 0.0000 (multiplicity 1)
Cd 0.5000 0.0000 0.0000 (multiplicity 1)
H 0.2819 0.2552 0.5135 (multiplicity 2)
H 0.3132 0.2858 0.5785 (multiplicity 2)

---

2.
The following is a calculated powder diffraction line list of Tl2Cd2H. It was derived from DFT lattice parameters and positions (PBE), using copper Kα.

Top 6 peaks for 10 to 90 degrees two-theta, by intensity:
index  2θ (°)  intensity
2 1 1  35.7  100
0 0 2  29.8  42
2 0 0  28.8  36
4 1 1  63.8  29
2 1 3  56.8  26
2 0 2  41.9  26

Structure:
Cell: 6.1986 6.1986 5.9956 Å, 90.00 90.00 90.00°
Space group P4/mbm (No. 127)
Asymmetric unit:
Tl 0.1841 0.3159 0.0000 (multiplicity 4)
Cd 0.1713 0.6713 0.5000 (multiplicity 4)
H 0.0000 0.0000 0.5000 (multiplicity 2)

---

3.
The following is a calculated powder diffraction line list of VCdH. It was derived from DFT lattice parameters and positions (PBE), using copper Kα.

Top 6 peaks for 10 to 90 degrees two-theta, by intensity:
index  2θ (°)  intensity
1 1 0  37.7  100
0 1 2  38.2  92
1 0 -2  37.9  49
1 0 2  38.6  42
1 1 -4  68.9  26
0 1 1  29.7  25

Structure:
Cell: 3.3686 3.3780 6.5833 Å, 90.00 91.03 90.00°
Space group P2_1/m (No. 11)
Asymmetric unit:
V 0.2227 0.2500 0.0904 (multiplicity 2)
Cd 0.2550 0.2500 0.6357 (multiplicity 2)
H 0.2760 0.7500 0.0022 (multiplicity 2)

---

4.
The following is a calculated powder diffraction line list of YCd3H. It was derived from DFT lattice parameters and positions (PBE), using copper Kα.

Top 6 peaks for 10 to 90 degrees two-theta, by intensity:
index  2θ (°)  intensity
1 1 1  33.3  100
2 0 0  38.6  50
3 1 1  66.6  38
2 2 0  55.8  33
2 2 2  69.9  11
4 0 0  82.9  5

Structure:
Cell: 4.6596 4.6596 4.6596 Å, 90.00 90.00 90.00°
Space group Pm-3m (No. 221)
Asymmetric unit:
Y 0.0000 0.0000 0.0000 (multiplicity 1)
Cd 0.0000 0.5000 0.5000 (multiplicity 3)
H 0.5000 0.5000 0.5000 (multiplicity 1)

---

5.
The following is a calculated powder diffraction line list of Y2ZnCdH. It was derived from DFT lattice parameters and positions (PBE), using copper Kα.

Top 6 peaks for 10 to 90 degrees two-theta, by intensity:
index  2θ (°)  intensity
1 1 1  34.2  100
2 0 0  35.5  46
3 1 1  62.8  32
2 0 2  60.3  19
2 2 0  51.0  16
2 2 2  72.0  11

Structure:
Cell: 5.0621 5.0621 3.8594 Å, 90.00 90.00 90.00°
Space group P4/mmm (No. 123)
Asymmetric unit:
Y 0.0000 0.5000 0.0000 (multiplicity 2)
Zn 0.0000 0.0000 0.5000 (multiplicity 1)
Cd 0.5000 0.5000 0.5000 (multiplicity 1)
H 0.0000 0.0000 0.0000 (multiplicity 1)

---

6.
The following is a calculated powder diffraction line list of ZnCd2H. It was derived from DFT lattice parameters and positions (PBE), using copper Kα.

Top 6 peaks for 10 to 90 degrees two-theta, by intensity:
index  2θ (°)  intensity
1 1 2  28.3  100
2 1 1  37.0  55
2 0 4  47.6  30
1 0 3  30.2  25
2 1 3  44.6  15
3 2 3  66.0  15

Structure:
Cell: 5.5824 5.5824 10.4803 Å, 90.00 90.00 90.00°
Space group I-42d (No. 122)
Asymmetric unit:
Zn 0.0000 0.0000 0.0000 (multiplicity 4)
Cd 0.1576 0.2500 0.6250 (multiplicity 8)
H 0.0000 0.0000 0.5000 (multiplicity 4)

---

7.
The following is a calculated powder diffraction line list of Zr3CdH. It was derived from DFT lattice parameters and positions (PBE), using copper Kα.

Top 6 peaks for 10 to 90 degrees two-theta, by intensity:
index  2θ (°)  intensity
1 0 2  34.5  100
1 2 0  41.3  30
2 2 2  70.9  23
1 2 4  56.9  23
0 0 4  37.4  20
1 0 6  65.6  15

Structure:
Cell: 3.0945 6.1809 9.6248 Å, 90.00 90.00 90.00°
Space group Pmmm (No. 47)
Asymmetric unit:
Zr 0.0000 0.0000 0.0000 (multiplicity 1)
Zr 0.0000 0.5000 0.0000 (multiplicity 1)
Zr 0.5000 0.2476 0.2511 (multiplicity 4)
Cd 0.0000 0.0000 0.5000 (multiplicity 1)
Cd 0.0000 0.5000 0.5000 (multiplicity 1)
H 0.0000 0.5000 0.2165 (multiplicity 2)

---

8.
The following is a calculated powder diffraction line list of Zr3CdH. It was derived from DFT lattice parameters and positions (PBE), using copper Kα.

Top 6 peaks for 10 to 90 degrees two-theta, by intensity:
index  2θ (°)  intensity
2 0 2  34.4  100
2 1 0  40.6  32
4 1 2  69.9  24
2 1 4  57.2  22
0 0 4  38.5  18
2 0 6  67.0  13

Structure:
Cell: 6.2873 3.1419 9.3509 Å, 90.00 90.00 90.00°
Space group Pmma (No. 51)
Asymmetric unit:
Zr 0.0009 0.0000 0.2500 (multiplicity 4)
Zr 0.2500 0.5000 0.5057 (multiplicity 2)
Cd 0.2500 0.5000 0.9908 (multiplicity 2)
H 0.2500 0.5000 0.2805 (multiplicity 2)